(1)
Computed powder diffractogram of Li9Mn2Co5O16 for Cu Ka, from a DFT-relaxed cell (GGA+U, the Materials Project).
Kinematic intensities with the Lorentz-polarization factor, no thermal factor.

Atomic structure:
```
32
Lattice="3.022 0.000 0.000 -0.425 9.965 0.000 -0.284 -2.880 9.656" Properties=species:S:1:pos:R:3 pbc="T T T"
Li 0.000 0.000 0.000
Li -0.212 4.971 0.077
Li -0.341 3.545 4.757
Li -0.549 8.500 4.823
Li 1.397 2.461 0.048
Li 1.265 1.054 4.791
Li 1.235 4.255 2.414
Li 1.071 6.034 4.794
Li 1.208 7.466 0.024
Mn -0.311 0.295 7.240
Mn 1.078 2.832 7.237
Co -0.177 1.853 2.428
Co -0.525 5.343 7.245
Co -0.374 6.656 2.400
Co 1.023 9.236 2.413
Co 0.895 7.781 7.249
O -0.172 3.177 1.299
O -0.129 0.240 3.484
O -0.246 1.887 6.120
O -0.449 6.904 6.145
O 1.017 1.229 8.385
O 0.955 7.677 3.510
O 1.197 2.579 3.513
O 1.043 4.412 6.106
O 0.937 6.235 8.353
O 1.279 5.932 1.311
O 1.369 -0.630 6.117
O 1.511 0.830 1.319
O 2.417 3.765 8.358
O 2.654 -1.305 8.337
O 2.599 8.272 1.347
O 2.643 5.330 3.523
```

The 12 most intense peaks (2θ from 10° to 80°), in order of falling intensity:
d_spacing  Position (°2θ)  intensity
4.828  18.4  1000
2.191  41.2  347
2.065  43.8  277
2.009  45.1  246
2.613  34.3  201
2.492  36.0  134
2.434  36.9  106
1.508  61.5  86
1.497  62.0  84
1.482  62.7  80
1.479  62.8  77
1.450  64.2  70

=====

(2)
Computed powder diffractogram of Cs2BiPWO8 for Cu Ka, from a DFT-relaxed cell (GGA+U, the Materials Project).
Kinematic intensities with the Lorentz-polarization factor, no thermal factor.

Atomic structure:
```
52
Lattice="-3.623 6.431 10.929 3.623 -6.431 10.929 3.623 6.431 -10.929" Properties=species:S:1:pos:R:3 pbc="T T T"
Cs 3.847 -1.088 3.465
Cs 0.224 1.088 3.465
Cs 3.847 5.343 -3.465
Cs 3.847 1.088 7.465
Cs -0.224 5.343 3.465
Cs -0.224 1.088 14.394
Cs 3.399 5.343 7.465
Cs -0.224 7.519 7.465
Bi 5.435 2.073 0.000
Bi 1.812 4.358 0.000
Bi 1.812 2.073 10.929
Bi -1.812 4.358 10.929
P 1.812 0.944 0.000
P 1.812 -0.944 10.929
P 1.812 7.375 0.000
P 1.812 5.488 10.929
W 3.623 -3.216 7.519
W 3.623 3.216 3.410
W 0.000 3.216 7.519
W 0.000 9.647 3.410
O 1.961 -0.015 1.222
O 5.584 0.015 1.222
O 3.161 4.622 -6.479
O 2.181 -3.680 8.552
O 3.038 1.898 -0.175
O 0.585 1.898 0.175
O 3.161 -1.809 6.479
O 1.442 3.680 -2.377
O 5.065 2.751 2.377
O 4.208 4.533 -0.175
O 3.161 1.809 4.450
O 3.038 -1.898 11.104
O 2.181 3.680 2.377
O -0.463 1.809 6.479
O 1.961 6.416 -1.222
O 1.961 0.015 9.707
O 1.662 6.416 1.222
O 1.662 0.015 12.151
O 4.086 4.622 4.450
O 1.442 2.751 8.552
O 0.585 8.329 -0.175
O 0.463 4.622 6.479
O -0.585 1.898 11.104
O -1.442 3.680 8.552
O 2.181 2.751 13.306
O 0.463 8.240 4.450
O 3.038 4.533 10.754
O 0.585 4.533 11.104
O 1.442 10.111 2.377
O 0.463 1.809 17.408
O -1.961 6.416 9.707
O 1.662 6.446 9.707
```

The 12 most intense peaks (2θ from 10° to 80°), in order of falling intensity:
d_spacing  Position (°2θ)  intensity
3.496  25.5  1000
3.643  24.4  734
3.439  25.9  591
3.020  29.6  486
3.058  29.2  389
2.196  41.1  339
4.014  22.1  307
1.646  55.9  242
1.845  49.4  209
1.872  48.6  207
2.913  30.7  195
4.698  18.9  191

=====

(3)
Computed powder diffractogram of FeOF for Cu Ka, from a DFT-relaxed cell (GGA+U, the Materials Project).
Kinematic intensities with the Lorentz-polarization factor, no thermal factor.

Atomic structure:
```
54
Lattice="14.223 0.000 0.000 0.000 3.103 0.000 -0.058 0.000 14.263" Properties=species:S:1:pos:R:3 pbc="T T T"
Fe 0.000 0.000 0.000
Fe -0.005 0.000 4.759
Fe 2.011 1.552 2.388
Fe 2.033 1.552 11.936
Fe 2.079 1.552 7.036
Fe 4.475 0.000 4.992
Fe 4.717 0.000 9.469
Fe 4.805 0.000 0.050
Fe 6.712 1.552 7.090
Fe 6.699 1.552 11.870
Fe 6.915 1.552 2.362
Fe 9.225 0.000 4.509
Fe 9.451 0.000 9.463
Fe 9.497 0.000 14.203
Fe 11.496 1.552 2.390
Fe 11.484 1.552 11.823
Fe 11.600 1.552 7.242
Fe 14.016 0.000 9.170
O 0.657 1.552 5.641
O 0.758 1.552 0.866
O 1.217 0.000 12.739
O 1.270 0.000 3.251
O 1.274 0.000 8.031
O 3.059 0.000 6.193
O 5.440 1.552 10.407
O 5.503 1.552 5.585
O 5.547 1.552 0.971
O 5.984 0.000 7.996
O 5.965 0.000 12.804
O 8.284 1.552 3.726
O 10.230 1.552 0.886
O 10.201 1.552 10.363
O 10.655 0.000 7.937
O 10.747 0.000 3.291
O 10.737 0.000 12.736
O 13.062 1.552 8.502
F 0.738 1.552 10.387
F 3.054 0.000 10.933
F 3.152 0.000 1.368
F 3.641 1.552 3.725
F 3.618 1.552 8.613
F 3.607 1.552 13.314
F 5.958 0.000 3.242
F 7.848 0.000 1.364
F 7.821 0.000 10.916
F 7.901 0.000 6.168
F 8.320 1.552 8.539
F 8.337 1.552 13.272
F 10.161 1.552 5.588
F 12.497 0.000 6.076
F 12.599 0.000 1.386
F 12.630 0.000 10.936
F 13.095 1.552 3.727
F 13.071 1.552 13.286
```

The 12 most intense peaks (2θ from 10° to 80°), in order of falling intensity:
d_spacing  Position (°2θ)  intensity
2.597  34.5  1000
3.364  26.5  911
3.350  26.6  901
1.754  52.1  528
1.750  52.3  524
1.408  66.4  385
2.279  39.5  342
1.411  66.2  187
1.552  59.6  177
1.682  54.6  144
1.675  54.8  143
2.126  42.5  91

=====

(4)
Computed powder diffractogram of BaAlNi4O7 for Cu Ka, from a DFT-relaxed cell (GGA+U, the Materials Project).
Kinematic intensities with the Lorentz-polarization factor, no thermal factor.

Atomic structure:
```
26
Lattice="5.992 0.000 0.000 -2.996 5.189 0.000 0.000 0.000 10.134" Properties=species:S:1:pos:R:3 pbc="T T T"
Ba 0.000 3.460 0.000
Ba 2.996 1.730 5.067
Al 0.000 3.460 3.849
Al 2.996 1.730 8.916
Ni 0.000 0.000 4.506
Ni 0.000 0.000 9.573
Ni 0.000 1.819 7.063
Ni -1.421 4.280 7.063
Ni 1.575 0.909 1.997
Ni 1.421 4.280 7.063
Ni 4.417 0.909 1.997
Ni 2.996 3.371 1.997
O 0.000 0.000 2.647
O 0.000 0.000 7.714
O -1.410 2.646 2.864
O 0.000 1.807 5.081
O -1.431 4.286 5.081
O 1.565 0.903 0.014
O 1.410 2.646 2.864
O 0.000 5.087 2.864
O 2.996 0.102 7.931
O 1.587 2.544 7.931
O 1.431 4.286 5.081
O 4.427 0.903 0.014
O 2.996 3.382 0.014
O 4.406 2.544 7.931
```

The 12 most intense peaks (2θ from 10° to 80°), in order of falling intensity:
d_spacing  Position (°2θ)  intensity
2.514  35.7  1000
2.579  34.8  899
2.831  31.6  628
1.597  57.7  391
1.498  61.9  350
4.619  19.2  329
2.533  35.4  287
2.996  29.8  246
1.637  56.2  227
1.696  54.1  214
1.289  73.4  166
1.416  66.0  162

=====

(5)
Computed powder diffractogram of MoPCl6O2 for Cu Ka, from a DFT-relaxed cell (GGA+U, the Materials Project).
Kinematic intensities with the Lorentz-polarization factor, no thermal factor.

Atomic structure:
```
40
Lattice="6.727 0.000 0.000 0.000 13.858 0.000 -2.725 0.000 12.542" Properties=species:S:1:pos:R:3 pbc="T T T"
Mo 0.449 1.822 0.284
Mo -0.913 5.107 6.555
Mo 4.915 8.750 5.987
Mo 3.552 12.036 12.258
P 1.896 0.452 3.459
P 0.533 6.477 9.730
P 3.468 7.380 2.812
P 2.106 13.406 9.083
Cl -0.294 3.294 1.954
Cl -1.657 3.635 8.225
Cl 0.028 7.128 5.376
Cl -1.334 13.658 11.647
Cl 0.408 0.501 4.791
Cl -0.955 6.427 11.062
Cl 2.539 2.851 0.104
Cl 1.177 4.078 6.375
Cl 2.164 8.756 2.211
Cl 0.801 12.030 8.482
Cl 1.210 1.297 8.812
Cl 2.573 5.632 2.541
Cl 1.429 8.226 10.001
Cl 2.792 12.561 3.730
Cl 3.201 1.827 4.060
Cl 1.838 5.102 10.331
Cl 2.825 9.780 6.167
Cl 1.462 11.007 12.438
Cl 4.956 7.430 1.480
Cl 3.593 13.356 7.751
Cl 5.336 0.199 0.895
Cl 3.973 6.730 7.166
Cl 5.658 10.223 4.317
Cl 4.296 10.564 10.588
O -1.012 9.384 7.340
O 0.351 11.403 1.069
O 1.431 0.647 2.066
O 0.069 6.281 8.337
O 3.933 7.576 4.205
O 2.570 13.210 10.476
O 3.651 2.455 11.473
O 5.013 4.474 5.202
```

The 12 most intense peaks (2θ from 10° to 80°), in order of falling intensity:
d_spacing  Position (°2θ)  intensity
5.817  15.2  1000
4.002  22.2  618
2.868  31.2  461
5.112  17.3  457
3.542  25.1  379
4.335  20.5  328
4.121  21.6  296
3.950  22.5  246
5.939  14.9  236
3.502  25.4  219
2.091  43.3  201
2.717  33.0  191

=====

(6)
Computed powder diffractogram of RbNdW2O8 for Cu Ka, from a DFT-relaxed cell (GGA+U, the Materials Project).
Kinematic intensities with the Lorentz-polarization factor, no thermal factor.

Atomic structure:
```
24
Lattice="5.521 -5.455 0.000 5.521 5.455 0.000 -4.888 0.000 5.810" Properties=species:S:1:pos:R:3 pbc="T T T"
Rb 1.855 3.254 4.358
Rb 4.299 -3.254 1.453
Nd 4.299 3.003 1.453
Nd 1.855 -3.003 4.358
W 2.026 0.053 1.631
W -0.418 -0.053 4.536
W 6.571 0.053 1.274
W 4.127 -0.053 4.179
O -1.892 0.903 4.018
O 1.807 1.697 0.782
O 0.552 -0.903 1.113
O 0.728 0.682 3.257
O 5.158 1.173 0.162
O 3.173 -0.682 0.352
O -0.637 -1.697 3.687
O 3.439 1.173 2.743
O 2.714 -1.173 3.067
O 6.790 1.697 2.123
O 2.981 0.682 5.458
O 0.995 -1.173 5.648
O 5.425 -0.682 2.553
O 5.602 0.903 4.697
O 4.346 -1.697 5.028
O 8.046 -0.903 1.792
```

The 12 most intense peaks (2θ from 10° to 80°), in order of falling intensity:
d_spacing  Position (°2θ)  intensity
3.340  26.7  1000
3.113  28.7  816
2.727  32.8  416
2.905  30.8  341
3.234  27.6  234
5.455  16.2  195
1.988  45.6  193
1.681  54.6  172
6.680  13.3  159
1.725  53.1  154
1.883  48.3  150
2.744  32.6  136